Entry 1:
This entry pairs a crystal structure of K11In6Bi9 with its computed X-ray diffraction stick pattern. Radiation: Cu Kα X-rays. Structure: DFT lattice parameters and positions (PBE).
Lines closer than 0.1° are merged.

Structural model:
Unit cell a=12.2531 b=13.5058 c=13.8853 alpha=91.30 beta=116.00 gamma=103.75
Positions (direct):
K1 0.0000 0.0000 0.0000
K2 0.0000 0.5000 0.0000
K3 0.1566 0.2416 0.7038
K4 0.1645 0.2183 0.2166
K5 0.1839 0.9561 0.8086
K6 0.1897 0.5217 0.5952
K7 0.2110 0.8129 0.5108
K8 0.3132 0.4827 0.9306
K9 0.3200 0.4884 0.3683
K10 0.3251 0.7504 0.2843
K11 0.3984 0.0431 0.1940
K12 0.4751 0.7779 0.0667
K13 0.5249 0.2221 0.9333
K14 0.6016 0.9569 0.8060
K15 0.6749 0.2496 0.7157
K16 0.6800 0.5116 0.6317
K17 0.6868 0.5173 0.0694
K18 0.7890 0.1871 0.4892
K19 0.8103 0.4783 0.4048
K20 0.8161 0.0439 0.1914
K21 0.8355 0.7817 0.7834
K22 0.8434 0.7584 0.2962
In1 0.0126 0.2577 0.8846
In2 0.0892 0.0539 0.4597
In3 0.0947 0.6501 0.8018
In4 0.3432 0.2931 0.5456
In5 0.4022 0.0557 0.4633
In6 0.4716 0.3452 0.1994
In7 0.5284 0.6548 0.8006
In8 0.5978 0.9443 0.5367
In9 0.6568 0.7069 0.4544
In10 0.9053 0.3499 0.1982
In11 0.9108 0.9461 0.5403
In12 0.9874 0.7423 0.1154
Bi1 0.0281 0.5776 0.2725
Bi2 0.0587 0.2731 0.4177
Bi3 0.1288 0.9535 0.2778
Bi4 0.1543 0.7840 0.0052
Bi5 0.2630 0.2108 0.9931
Bi6 0.3282 0.7581 0.7821
Bi7 0.3511 0.0976 0.6542
Bi8 0.4847 0.4284 0.7672
Bi9 0.4974 0.2756 0.4231
Bi10 0.5026 0.7244 0.5769
Bi11 0.5153 0.5716 0.2328
Bi12 0.6489 0.9024 0.3458
Bi13 0.6718 0.2419 0.2179
Bi14 0.7370 0.7892 0.0069
Bi15 0.8457 0.2160 0.9948
Bi16 0.8712 0.0465 0.7222
Bi17 0.9413 0.7269 0.5823
Bi18 0.9719 0.4224 0.7275

Peak list (12 most intense, 15° ≤ 2θ ≤ 90°, by angle)
d/Å  I/Imax
5.441  63
5.295  35
4.282  50
4.219  44
3.062  100
3.050  32
3.038  48
3.015  49
2.996  28
2.972  30
2.467  26
2.309  26



Entry 2:
This entry pairs a crystal structure of K2In2Bi3 with its computed X-ray diffraction stick pattern. Radiation: Cu Kα X-rays. Structure: DFT lattice parameters and positions (PBE).
Lines closer than 0.1° are merged.

Structural model:
Unit cell a=10.0912 b=10.0912 c=13.8450 alpha=125.12 beta=125.12 gamma=28.76
Positions (direct):
K1 0.1031 0.1031 0.4553
K2 0.2383 0.2383 0.8425
K3 0.7617 0.7617 0.1575
K4 0.8969 0.8969 0.5447
In1 0.0918 0.0918 0.1563
In2 0.4737 0.4737 0.2062
In3 0.5263 0.5263 0.7938
In4 0.9082 0.9082 0.8437
Bi1 0.1046 0.1046 0.9484
Bi2 0.3398 0.3398 0.6908
Bi3 0.4225 0.4225 0.3725
Bi4 0.5775 0.5775 0.6275
Bi5 0.6602 0.6602 0.3092
Bi6 0.8954 0.8954 0.0516

Peak list (12 most intense, 15° ≤ 2θ ≤ 90°, by angle)
d/Å  I/Imax
4.707  34
4.682  36
4.563  37
4.128  81
3.999  33
3.340  35
3.092  44
2.991  35
2.506  61
2.420  38
2.385  100
2.339  56



Entry 3:
This entry pairs a crystal structure of K2LiInBi2 with its computed X-ray diffraction stick pattern. Radiation: Cu Kα X-rays. Structure: DFT lattice parameters and positions (PBE).
Lines closer than 0.1° are merged.

Structural model:
Unit cell a=9.7547 b=9.7547 c=9.7547 alpha=138.27 beta=61.50 gamma=136.96
Positions (direct):
K1 0.1697 0.2490 0.4187
K2 0.3303 0.7490 0.0794
K3 0.6697 0.2510 0.9206
K4 0.8303 0.7510 0.5813
Li1 0.2500 0.2500 0.0000
Li2 0.7500 0.7500 0.0000
In1 0.2500 0.7500 0.5000
In2 0.7500 0.2500 0.5000
Bi1 0.1040 0.7482 0.8522
Bi2 0.3960 0.2482 0.6441
Bi3 0.6040 0.7518 0.3559
Bi4 0.8960 0.2518 0.1478

Peak list (12 most intense, 15° ≤ 2θ ≤ 90°, by angle)
d/Å  I/Imax
4.285  100
4.192  16
3.578  22
3.474  20
3.208  39
2.722  41
2.675  39
2.493  46
2.438  20
2.178  28
2.131  17
1.932  22



Entry 4:
This entry pairs a crystal structure of K2InBi2O6 with its computed X-ray diffraction stick pattern. Radiation: Cu Kα X-rays. Structure: DFT lattice parameters and positions (PBE).
Lines closer than 0.1° are merged.

Structural model:
Unit cell a=6.0242 b=6.0242 c=6.6837 alpha=98.29 beta=98.29 gamma=119.56
Positions (direct):
K1 0.1654 0.8346 0.0000
K2 0.8346 0.1654 0.0000
In1 0.0000 0.0000 0.5000
Bi1 0.3350 0.6650 0.5000
Bi2 0.6650 0.3350 0.5000
O1 0.0481 0.3830 0.6802
O2 0.2442 0.2442 0.3155
O3 0.3830 0.0481 0.6802
O4 0.6170 0.9519 0.3198
O5 0.7558 0.7558 0.6845
O6 0.9519 0.6170 0.3198

Peak list (12 most intense, 15° ≤ 2θ ≤ 90°, by angle)
d/Å  I/Imax
3.202  55
2.982  87
2.905  39
2.867  74
2.561  100
2.545  49
2.361  25
2.037  30
1.870  34
1.747  31
1.626  19
1.525  32



Entry 5:
This entry pairs a crystal structure of KIn2BiPb with its computed X-ray diffraction stick pattern. Radiation: Cu Kα X-rays. Structure: DFT lattice parameters and positions (PBE).
Lines closer than 0.1° are merged.

Structural model:
Unit cell a=7.4548 b=7.4548 c=7.4548 alpha=141.16 beta=135.99 gamma=60.13
Positions (direct):
K1 0.0000 0.0000 0.0000
In1 0.3734 0.3734 0.0000
In2 0.7682 0.2682 0.5000
Bi1 0.6113 0.6113 0.0000
Pb1 0.2370 0.7370 0.5000

Peak list (12 most intense, 15° ≤ 2θ ≤ 90°, by angle)
d/Å  I/Imax
5.127  28
4.628  52
3.249  33
3.215  100
2.793  51
2.479  37
2.434  99
2.391  20
2.343  29
1.854  31
1.703  27
1.534  24



Entry 6:
This entry pairs a crystal structure of KInBi2S with its computed X-ray diffraction stick pattern. Radiation: Cu Kα X-rays. Structure: DFT lattice parameters and positions (PBE).
Lines closer than 0.1° are merged.

Structural model:
Unit cell a=5.8983 b=5.8983 c=5.3163 alpha=90.00 beta=90.00 gamma=90.00
Positions (direct):
K1 0.0000 0.0000 0.0000
In1 0.5000 0.5000 0.5000
Bi1 0.0000 0.5000 0.5000
Bi2 0.5000 0.0000 0.5000
S1 0.5000 0.5000 0.0000

Peak list (12 most intense, 15° ≤ 2θ ≤ 90°, by angle)
d/Å  I/Imax
5.316  100
4.171  26
3.281  87
2.949  88
2.658  33
2.579  70
2.085  33
1.974  56
1.941  31
1.760  30
1.641  31
1.181  22